1.
Structure and simulated X-ray powder pattern of Dy5Tm3Th3 (the GGA-PBE geometry in Alexandria; copper Kα).

Most intense lines, 10° ≤ 2θ ≤ 90°, sorted by position:
- 27.77°, 3.212 Å, I 1000
- 30.75°, 2.907 Å, I 877
- 32.17°, 2.782 Å, I 583
- 33.53°, 2.672 Å, I 735
- 36.08°, 2.489 Å, I 556
- 41.91°, 2.155 Å, I 786
- 49.12°, 1.855 Å, I 374
- 64.09°, 1.453 Å, I 514

```
data_Dy5Tm3Th3
_cell_length_a 11.1260
_cell_length_b 11.1260
_cell_length_c 3.4103
_cell_angle_alpha 90.00
_cell_angle_beta 90.00
_cell_angle_gamma 120.00
_space_group_name_H-M_alt 'P 1'
_space_group_IT_number 1
_space_group_name_Hall 'P 1'
loop_
_atom_site_label
_atom_site_fract_x
_atom_site_fract_y
_atom_site_fract_z
_atom_site_occupancy
Dy1 0.0000 0.8386 0.0000 1
Dy2 0.1614 0.1614 0.0000 1
Dy3 0.3333 0.6667 0.0000 1
Dy4 0.6667 0.3333 0.0000 1
Dy5 0.8386 0.0000 0.0000 1
Tm1 0.0000 0.5916 0.5000 1
Tm2 0.4084 0.4084 0.5000 1
Tm3 0.5916 0.0000 0.5000 1
Th1 0.0000 0.3389 0.0000 1
Th2 0.3389 0.0000 0.0000 1
Th3 0.6611 0.6611 0.0000 1
```

=====

2.
Structure and simulated X-ray powder pattern of La3Zn8Au3 (the GGA-PBE geometry in Alexandria; copper Kα).

Most intense lines, 10° ≤ 2θ ≤ 90°, sorted by position:
- 27.95°, 3.192 Å, I 760
- 28.44°, 3.138 Å, I 363
- 33.86°, 2.647 Å, I 457
- 34.39°, 2.608 Å, I 1000
- 35.18°, 2.551 Å, I 486
- 37.47°, 2.400 Å, I 424
- 39.74°, 2.268 Å, I 795
- 40.14°, 2.246 Å, I 406

```
data_La3Zn8Au3
_cell_length_a 8.4020
_cell_length_b 8.4020
_cell_length_c 9.2557
_cell_angle_alpha 122.19
_cell_angle_beta 122.19
_cell_angle_gamma 31.32
_space_group_name_H-M_alt 'P 1'
_space_group_IT_number 1
_space_group_name_Hall 'P 1'
loop_
_atom_site_label
_atom_site_fract_x
_atom_site_fract_y
_atom_site_fract_z
_atom_site_occupancy
La1 0.0000 0.0000 0.0000 1
La2 0.2956 0.2956 0.3010 1
La3 0.7044 0.7044 0.6990 1
Zn1 0.1357 0.1357 0.4184 1
Zn2 0.1379 0.1379 0.8468 1
Zn3 0.3379 0.3379 0.6897 1
Zn4 0.4983 0.4983 0.6843 1
Zn5 0.5017 0.5017 0.3157 1
Zn6 0.6621 0.6621 0.3103 1
Zn7 0.8621 0.8621 0.1532 1
Zn8 0.8643 0.8643 0.5816 1
Au1 0.0000 0.0000 0.5000 1
Au2 0.3449 0.3449 0.9839 1
Au3 0.6551 0.6551 0.0161 1
```